# 1
Theoretical powder XRD pattern
Compound: Ba3WO6
Radiation: Cu Kα
Structure: a cell relaxed with GGA+U

Peak list (10 most intense, 15 to 90 degrees two-theta, low angle first)
- hkl 0 1 -2, 25.6 deg, d = 3.481 Å, I 16
- hkl 0 2 0, 25.9 deg, d = 3.442 Å, I 51
- hkl 2 0 0, 27.1 deg, d = 3.292 Å, I 47
- hkl 1 -2 0, 28.0 deg, d = 3.183 Å, I 16
- hkl -1 1 2, 28.4 deg, d = 3.142 Å, I 100
- hkl 1 1 -2, 29.6 deg, d = 3.021 Å, I 41
- hkl 1 1 2, 29.7 deg, d = 3.009 Å, I 43
- hkl 2 -2 0, 35.8 deg, d = 2.506 Å, I 20
- hkl 2 2 0, 39.7 deg, d = 2.269 Å, I 15
- hkl 0 0 4, 45.0 deg, d = 2.016 Å, I 19

Structural model:
```
data_Ba3WO6
_cell_length_a 6.6159
_cell_length_b 6.9194
_cell_length_c 8.0658
_cell_angle_alpha 90.22
_cell_angle_beta 90.09
_cell_angle_gamma 95.69
_space_group_name_H-M_alt 'P 1'
_space_group_IT_number 1
loop_
_space_group_symop_operation_xyz
'x,y,z'
loop_
_atom_site_label
_atom_site_fract_x
_atom_site_fract_y
_atom_site_fract_z
Ba1 0.0000 0.0000 0.0000
Ba2 0.0006 0.0014 0.4526
Ba3 0.1063 0.4985 0.2246
Ba4 0.4849 0.1263 0.7215
Ba5 0.5834 0.6152 0.9816
Ba6 0.5908 0.6077 0.4559
W1 0.0309 0.5463 0.7244
W2 0.5045 0.1057 0.2265
O1 0.1281 0.2972 0.7248
O2 0.1657 0.6389 0.5362
O3 0.1675 0.6413 0.9119
O4 0.2877 0.8970 0.2239
O5 0.3711 0.2668 0.3891
O6 0.3763 0.2768 0.0703
O7 0.5970 0.9798 0.4365
O8 0.5967 0.9886 0.0132
O9 0.7594 0.4119 0.7243
O10 0.7849 0.2381 0.2318
O11 0.8293 0.7207 0.2180
O12 0.8715 0.7782 0.7243
```

# 2
Theoretical powder XRD pattern
Compound: Li2V2F7
Radiation: Cu Kα
Structure: a cell relaxed with GGA+U

Peak list (10 most intense, 15 to 90 degrees two-theta, low angle first)
- hkl 1 1 0, 18.2 deg, d = 4.878 Å, I 52
- hkl 2 1 0, 22.0 deg, d = 4.038 Å, I 100
- hkl 0 0 2, 23.1 deg, d = 3.850 Å, I 67
- hkl 4 0 0, 28.7 deg, d = 3.115 Å, I 34
- hkl 1 1 2, 29.6 deg, d = 3.022 Å, I 54
- hkl 6 1 0, 47.0 deg, d = 1.933 Å, I 53
- hkl 0 0 4, 47.2 deg, d = 1.925 Å, I 32
- hkl 5 2 0, 50.3 deg, d = 1.816 Å, I 19
- hkl 5 2 2, 56.0 deg, d = 1.642 Å, I 21
- hkl 1 3 2, 57.9 deg, d = 1.593 Å, I 24

Structural model:
```
data_Li2V2F7
_cell_length_a 12.4596
_cell_length_b 5.3017
_cell_length_c 7.7002
_cell_angle_alpha 90.00
_cell_angle_beta 90.00
_cell_angle_gamma 90.00
_space_group_name_H-M_alt 'P 1'
_space_group_IT_number 1
loop_
_space_group_symop_operation_xyz
'x,y,z'
loop_
_atom_site_label
_atom_site_fract_x
_atom_site_fract_y
_atom_site_fract_z
Li1 0.0726 0.1165 0.0000
Li2 0.1811 0.1241 0.5014
Li3 0.3189 0.6241 0.0014
Li4 0.4274 0.6165 0.5000
Li5 0.5726 0.3835 0.0000
Li6 0.6811 0.3759 0.5014
Li7 0.8189 0.8759 0.0014
Li8 0.9274 0.8835 0.5000
V1 0.1220 0.6475 0.2761
V2 0.1277 0.6347 0.7406
V3 0.3723 0.1346 0.2406
V4 0.3780 0.1475 0.7761
V5 0.6220 0.8525 0.2761
V6 0.6277 0.8654 0.7406
V7 0.8723 0.3654 0.2406
V8 0.8780 0.3525 0.7761
F1 0.0451 0.2963 0.7790
F2 0.0542 0.3138 0.2091
F3 0.0760 0.8858 0.4789
F4 0.1157 0.7644 0.0148
F5 0.1573 0.4674 0.4962
F6 0.2316 0.9402 0.2988
F7 0.2406 0.9647 0.7002
F8 0.2594 0.4647 0.2002
F9 0.2684 0.4402 0.7988
F10 0.3427 0.9674 0.9962
F11 0.3843 0.2644 0.5148
F12 0.4240 0.3858 0.9789
F13 0.4458 0.8138 0.7091
F14 0.4549 0.7963 0.2790
F15 0.5451 0.2037 0.7790
F16 0.5542 0.1862 0.2091
F17 0.5760 0.6142 0.4789
F18 0.6157 0.7356 0.0148
F19 0.6573 0.0326 0.4962
F20 0.7316 0.5598 0.2988
F21 0.7406 0.5353 0.7002
F22 0.7594 0.0353 0.2002
F23 0.7684 0.0598 0.7988
F24 0.8427 0.5326 0.9962
F25 0.8843 0.2356 0.5148
F26 0.9240 0.1142 0.9789
F27 0.9458 0.6862 0.7091
F28 0.9549 0.7037 0.2790
```